# 1
Diffraction record for HfNb2ReSe. The PXRD pattern is theoretical, not measured: it uses a DFT-relaxed cell (GGA-PBE, Alexandria) and copper Kα.
No peak broadening, texture or thermal motion is included.

Peak list (8 most intense, 10 to 80 degrees two-theta, sorted by position)
d 3.529, I = 38, hkl 1 1 0
d 3.372, I = 87, hkl 1 0 1
d 2.794, I = 48, hkl 1 1 1
d 2.496, I = 100, hkl 2 0 0
d 2.287, I = 39, hkl 0 0 2
d 2.006, I = 42, hkl 2 1 1
d 1.765, I = 35, hkl 2 2 0
d 1.686, I = 61, hkl 2 0 2

```
data_HfNb2ReSe
_chemical_formula_sum 'Hf1 Nb2 Re1 Se1'
_space_group_name_H-M_alt 'P 4/m m m'
_space_group_IT_number 123
_space_group_name_Hall '-P 4 2'
_cell_length_a 4.991
_cell_length_b 4.991
_cell_length_c 4.574
_cell_angle_alpha 90.00
_cell_angle_beta 90.00
_cell_angle_gamma 90.00
loop_
_atom_site_label
_atom_site_fract_x
_atom_site_fract_y
_atom_site_fract_z
Hf1 0.000 0.000 0.000
Nb1 0.000 0.500 0.500
Re1 0.500 0.500 0.500
Se1 0.500 0.500 0.000
```



# 2
Diffraction record for HfNbRh. The PXRD pattern is theoretical, not measured: it uses a DFT-relaxed cell (GGA-PBE, Alexandria) and copper Kα.
No peak broadening, texture or thermal motion is included.

Peak list (8 most intense, 10 to 80 degrees two-theta, sorted by position)
d 2.786, I = 40, hkl 1 1 0
d 2.648, I = 29, hkl 1 0 2
d 2.596, I = 100, hkl 1 1 1
d 2.384, I = 39, hkl 0 0 3
d 2.198, I = 62, hkl 1 1 2
d 2.040, I = 22, hkl 1 0 3
d 1.970, I = 60, hkl 2 0 0
d 1.519, I = 38, hkl 2 0 3

```
data_HfNbRh
_chemical_formula_sum 'Hf2 Nb2 Rh2'
_space_group_name_H-M_alt 'P 4/n m m'
_space_group_IT_number 129
_cell_length_a 3.941
_cell_length_b 3.941
_cell_length_c 7.152
_cell_angle_alpha 90.00
_cell_angle_beta 90.00
_cell_angle_gamma 90.00
loop_
_space_group_symop_operation_xyz
'x,y,z'
'-x,-y,-z'
'-y+1/2,x,z'
'y+1/2,-x,-z'
'-x+1/2,-y+1/2,z'
'x+1/2,y+1/2,-z'
'y,-x+1/2,z'
'-y,x+1/2,-z'
'x+1/2,-y,-z'
'-x+1/2,y,z'
'-y,-x,-z'
'y,x,z'
'-x,y+1/2,-z'
'x,-y+1/2,z'
'y+1/2,x+1/2,-z'
'-y+1/2,-x+1/2,z'
loop_
_atom_site_label
_atom_site_fract_x
_atom_site_fract_y
_atom_site_fract_z
Hf1 0.250 0.250 0.144
Nb1 0.250 0.750 0.500
Rh1 0.250 0.250 0.789
```